The following is a computed XRD peak list of Mn4CdSi. It was derived from the PBE geometry in Alexandria, using Cu Kα (λ = 1.5418 Å).

Largest 10 diffraction maxima, sorted by position, 15° ≤ 2θ ≤ 90°:
d [Å], two_theta, Rel. int.
3.919, 22.7, 15
3.394, 26.3, 16
2.400, 37.5, 34
2.046, 44.3, 100
1.959, 46.3, 34
1.557, 59.4, 3
1.518, 61.1, 5
1.385, 67.6, 11
1.306, 72.3, 28
1.200, 80.0, 21

Atomic structure:
a = 6.787 Å, b = 6.787 Å, c = 6.787 Å
α = 90.00°, β = 90.00°, γ = 90.00°
Space group F-43m (No. 216)
Inequivalent atoms, fractional coordinates:
Mn1 0.124 0.124 0.124
Cd1 0.000 0.000 0.500
Si1 0.250 0.250 0.750